[1]
The following is a simulated PXRD pattern of K14Ce2O9. It was derived from a DFT-relaxed cell (GGA-PBE, Alexandria), using Cu Kα X-rays.
Lines closer than 0.1° are merged.

Most intense lines, 2θ from 10° to 80°, by angle:
hkl, 2θ (°), I/Imax
0 1 1, 15.07, 92
2 0 1, 27.01, 55
0 1 3, 27.13, 46
1 1 2, 27.45, 100
3 -1 1, 35.30, 62
3 0 0, 39.12, 35
2 -1 4, 39.29, 51
4 -2 2, 48.43, 23
3 1 3, 53.77, 21
2 3 1, 58.88, 21

```
data_K14Ce2O9
_symmetry_space_group_name_H-M 'P -3'
_symmetry_Int_Tables_number 147
_symmetry_space_group_name_Hall '-P 3'
_cell_length_a 7.9758
_cell_length_b 7.9758
_cell_length_c 11.2109
_cell_angle_alpha 90.00
_cell_angle_beta 90.00
_cell_angle_gamma 120.00
loop_
_atom_site_label
_atom_site_type_symbol
_atom_site_fract_x
_atom_site_fract_y
_atom_site_fract_z
K1 K 0.0000 0.0000 0.2404
K2 K 0.0529 0.6850 0.9126
K3 K 0.1150 0.3782 0.5918
Ce1 Ce 0.3333 0.6667 0.2747
O1 O 0.0000 0.0000 0.0000
O2 O 0.1229 0.3739 0.3427
O3 O 0.3333 0.6667 0.0781
```

[2]
The following is a simulated PXRD pattern of PaI5Br2. It was derived from a DFT-relaxed cell (GGA-PBE, Alexandria), using Cu Kα X-rays.
Lines closer than 0.1° are merged.

Most intense lines, 2θ from 10° to 80°, by angle:
hkl, 2θ (°), I/Imax
1 0 0, 11.38, 78
0 0 1, 11.57, 87
0 1 0, 12.18, 100
-1 1 1, 18.96, 38
1 1 -1, 21.79, 39
1 2 1, 22.83, 49
-1 2 1, 27.52, 62
2 1 2, 29.50, 44
1 1 -2, 31.78, 38
3 2 1, 36.97, 42

```
data_PaI5Br2
_symmetry_space_group_name_H-M 'P 1'
_symmetry_Int_Tables_number 1
_symmetry_space_group_name_Hall 'P 1'
_cell_length_a 7.9805
_cell_length_b 8.1461
_cell_length_c 8.3912
_cell_angle_alpha 65.68
_cell_angle_beta 84.22
_cell_angle_gamma 76.93
loop_
_atom_site_label
_atom_site_type_symbol
_atom_site_fract_x
_atom_site_fract_y
_atom_site_fract_z
Pa1 Pa 0.0000 0.0000 0.0000
I1 I 0.2176 0.7234 0.8969
I2 I 0.2562 0.9882 0.2262
I3 I 0.6887 0.9895 0.8067
I4 I 0.7606 0.3075 0.0845
I5 I 0.8189 0.7374 0.2677
Br1 Br 0.0679 0.2771 0.7092
Br2 Br 0.7267 0.1484 0.4563
```

[3]
The following is a simulated PXRD pattern of Cs3ZrTc. It was derived from a DFT-relaxed cell (GGA-PBE, Alexandria), using Cu Kα X-rays.
Lines closer than 0.1° are merged.

Most intense lines, 2θ from 10° to 80°, by angle:
hkl, 2θ (°), I/Imax
1 0 0, 14.87, 30
1 1 1, 25.90, 83
2 0 0, 29.99, 100
2 1 0, 33.63, 16
2 2 0, 42.93, 73
3 1 1, 50.82, 38
2 2 2, 53.26, 26
3 3 1, 68.66, 16
4 2 0, 70.71, 33
4 2 2, 78.67, 25

```
data_Cs3ZrTc
_symmetry_space_group_name_H-M 'P m -3 m'
_symmetry_Int_Tables_number 221
_symmetry_space_group_name_Hall '-P 4 2 3'
_cell_length_a 5.9583
_cell_length_b 5.9583
_cell_length_c 5.9583
_cell_angle_alpha 90.00
_cell_angle_beta 90.00
_cell_angle_gamma 90.00
loop_
_atom_site_label
_atom_site_type_symbol
_atom_site_fract_x
_atom_site_fract_y
_atom_site_fract_z
Cs1 Cs 0.0000 0.0000 0.5000
Zr1 Zr 0.5000 0.5000 0.5000
Tc1 Tc 0.0000 0.0000 0.0000
```

[4]
The following is a simulated PXRD pattern of Nd7SmDy3. It was derived from a DFT-relaxed cell (GGA-PBE, Alexandria), using Cu Kα X-rays.
Lines closer than 0.1° are merged.

Most intense lines, 2θ from 10° to 80°, by angle:
hkl, 2θ (°), I/Imax
2 2 -2, 28.61, 20
0 2 2, 29.22, 29
6 0 0, 30.91, 52
0 0 4, 31.60, 100
6 0 -4, 33.29, 86
4 2 -6, 50.26, 39
6 0 4, 54.31, 22
12 0 -4, 57.58, 18
2 2 6, 60.18, 45
8 0 -8, 60.59, 15

```
data_Nd7SmDy3
_symmetry_space_group_name_H-M 'C 1 2/c 1'
_symmetry_Int_Tables_number 15
_symmetry_space_group_name_Hall '-C 2yc'
_cell_length_a 19.2764
_cell_length_b 7.2562
_cell_length_c 12.5854
_cell_angle_alpha 90.00
_cell_angle_beta 115.78
_cell_angle_gamma 90.00
loop_
_atom_site_label
_atom_site_type_symbol
_atom_site_fract_x
_atom_site_fract_y
_atom_site_fract_z
Nd1 Nd 0.0000 0.2313 0.2500
Nd2 Nd 0.1602 0.4938 0.7751
Nd3 Nd 0.1676 0.2484 0.0289
Nd4 Nd 0.1680 0.2477 0.5297
Sm1 Sm 0.0000 0.0000 0.0000
Dy1 Dy 0.0000 0.5000 0.0000
Dy2 Dy 0.1688 0.0028 0.2758
```

[5]
The following is a simulated PXRD pattern of MgMoPd. It was derived from a DFT-relaxed cell (GGA-PBE, Alexandria), using Cu Kα X-rays.
Lines closer than 0.1° are merged.

Most intense lines, 2θ from 10° to 80°, by angle:
hkl, 2θ (°), I/Imax
0 0 1, 12.32, 10
0 1 1, 24.02, 26
1 0 -1, 29.16, 10
0 0 3, 37.57, 29
1 1 -2, 40.21, 100
0 2 0, 41.77, 23
1 0 2, 42.69, 8
0 2 3, 57.42, 16
1 1 -5, 69.58, 17
1 3 -2, 75.21, 15

```
data_MgMoPd
_symmetry_space_group_name_H-M 'P 1 21 1'
_symmetry_Int_Tables_number 4
_symmetry_space_group_name_Hall 'P 2yb'
_cell_length_a 3.1350
_cell_length_b 4.3250
_cell_length_c 7.3506
_cell_angle_alpha 90.00
_cell_angle_beta 102.30
_cell_angle_gamma 90.00
loop_
_atom_site_label
_atom_site_type_symbol
_atom_site_fract_x
_atom_site_fract_y
_atom_site_fract_z
Mg1 Mg 0.0785 0.0000 0.1573
Mo1 Mo 0.2410 0.4986 0.4852
Pd1 Pd 0.4126 0.9993 0.8248
```

[6]
The following is a simulated PXRD pattern of AlFe12B6. It was derived from a DFT-relaxed cell (GGA-PBE, Alexandria), using Cu Kα X-rays.
Lines closer than 0.1° are merged.

Most intense lines, 2θ from 10° to 80°, by angle:
hkl, 2θ (°), I/Imax
2 2 0, 35.90, 28
3 0 1, 40.31, 91
2 2 2, 44.35, 60
3 1 2, 48.11, 100
4 0 0, 51.67, 19
3 3 0, 55.06, 10
4 2 0, 58.32, 10
5 0 1, 67.49, 11
5 1 2, 73.27, 6
5 3 0, 78.88, 42

```
data_AlFe12B6
_symmetry_space_group_name_H-M 'I m -3'
_symmetry_Int_Tables_number 204
_symmetry_space_group_name_Hall '-I 2 2 3'
_cell_length_a 7.0760
_cell_length_b 7.0760
_cell_length_c 7.0760
_cell_angle_alpha 90.00
_cell_angle_beta 90.00
_cell_angle_gamma 90.00
loop_
_atom_site_label
_atom_site_type_symbol
_atom_site_fract_x
_atom_site_fract_y
_atom_site_fract_z
Al1 Al 0.0000 0.0000 0.0000
Fe1 Fe 0.0000 0.2980 0.1871
B1 B 0.0000 0.1207 0.5000
```